The following is a theoretical X-ray powder pattern of V3OF11. It was derived from a GGA+U-relaxed structure, using a wavelength of 1.5418 Å.
Intensities are scaled so that the largest is 100.

Principal peaks in the range 2θ from 10° to 80°, by angle:
- 4.949 Å, 2θ 17.9, rel. 62
- 3.545 Å, 2θ 25.1, rel. 100
- 2.725 Å, 2θ 32.9, rel. 10
- 2.474 Å, 2θ 36.3, rel. 8
- 1.898 Å, 2θ 47.9, rel. 15
- 1.772 Å, 2θ 51.6, rel. 10
- 1.755 Å, 2θ 52.1, rel. 13
- 1.693 Å, 2θ 54.2, rel. 13

Structural model:
Unit cell a=5.4507 b=5.2908 c=15.0929 alpha=90.00 beta=100.39 gamma=90.00
Space group P2_1 (No. 4)
Asymmetric unit:
1 V 0.0833 0.0000 0.1668
2 V 0.2298 0.4236 0.5058
3 V 0.4168 0.0000 0.8333
4 O 0.0469 0.1878 0.5245
5 F 0.0105 0.0793 0.0514
6 F 0.1280 0.1974 0.8555
7 F 0.1555 0.9221 0.2822
8 F 0.2054 0.6976 0.8109
9 F 0.2057 0.4122 0.3874
10 F 0.2904 0.5864 0.6102
11 F 0.2951 0.3027 0.1890
12 F 0.3444 0.0802 0.7180
13 F 0.3716 0.8028 0.1444
14 F 0.4656 0.7743 0.4738
15 F 0.4890 0.9222 0.9488